Theoretical X-ray diffraction stick pattern
Compound: Si3Ir5
Radiation: copper Kα
Structure: a structure optimized by DFT (PBE)
Intensities are scaled so that the largest is 1000.

```
data_Si3Ir5
_space_group_name_H-M_alt 'P 1'
_space_group_IT_number 1
_space_group_name_Hall 'P 1'
_cell_length_a 7.1219
_cell_length_b 7.1219
_cell_length_c 5.3551
_cell_angle_alpha 90.00
_cell_angle_beta 90.00
_cell_angle_gamma 120.00
loop_
_atom_site_label
_atom_site_fract_x
_atom_site_fract_y
_atom_site_fract_z
_atom_site_occupancy
Si1 0.0000 0.3688 0.2500 1
Si2 0.0000 0.6312 0.7500 1
Si3 0.3688 0.0000 0.2500 1
Si4 0.3688 0.3688 0.7500 1
Si5 0.6312 0.0000 0.7500 1
Si6 0.6312 0.6312 0.2500 1
Ir1 0.0000 0.2963 0.7500 1
Ir2 0.0000 0.7037 0.2500 1
Ir3 0.2963 0.0000 0.7500 1
Ir4 0.2963 0.2963 0.2500 1
Ir5 0.3333 0.6667 0.0000 1
Ir6 0.3333 0.6667 0.5000 1
Ir7 0.6667 0.3333 0.0000 1
Ir8 0.6667 0.3333 0.5000 1
Ir9 0.7037 0.0000 0.2500 1
Ir10 0.7037 0.7037 0.7500 1
```

Most intense lines, 2θ = 10–90°, by intensity:
d/Å  2θ (°)  intensity
2.140  42.24  1000
2.056  44.05  673
2.965  30.14  673
1.483  62.66  235
3.084  28.95  204
1.122  86.81  202

---

Theoretical X-ray diffraction stick pattern
Compound: La5Cu2Ge
Radiation: copper Kα
Structure: a structure optimized by DFT (PBE)
Intensities are scaled so that the largest is 1000.

```
data_La5Cu2Ge
_space_group_name_H-M_alt 'P 1'
_space_group_IT_number 1
_space_group_name_Hall 'P 1'
_cell_length_a 8.7439
_cell_length_b 8.7439
_cell_length_c 8.7439
_cell_angle_alpha 123.78
_cell_angle_beta 123.78
_cell_angle_gamma 83.57
loop_
_atom_site_label
_atom_site_fract_x
_atom_site_fract_y
_atom_site_fract_z
_atom_site_occupancy
La1 0.0000 0.0000 0.0000 1
La2 0.0152 0.5152 0.8254 1
La3 0.1898 0.0152 0.5000 1
La4 0.3102 0.8102 0.8254 1
La5 0.4848 0.3102 0.5000 1
La6 0.5000 0.5000 0.0000 1
La7 0.5152 0.6898 0.5000 1
La8 0.6898 0.1898 0.1746 1
La9 0.8102 0.9848 0.5000 1
La10 0.9848 0.4848 0.1746 1
Cu1 0.1221 0.3779 0.5000 1
Cu2 0.3779 0.8779 0.2558 1
Cu3 0.6221 0.1221 0.7442 1
Cu4 0.8779 0.6221 0.5000 1
Ge1 0.2500 0.2500 0.0000 1
Ge2 0.7500 0.7500 0.0000 1
```

Most intense lines, 2θ = 10–90°, by intensity:
d/Å  2θ (°)  intensity
2.811  31.84  1000
2.606  34.42  547
2.556  35.10  299
1.669  55.03  270
3.546  25.11  182
2.845  31.44  155